Entry 1:
Starting from a crystal structure in Alexandria, relaxed with PBE, the powder diffractogram of Tl2Pd4Pt was computed for copper Kα.

Structure:
a b c (Å): 6.9785 6.9785 6.9785
angles (deg): 108.95 108.95 110.52
Positions (direct):
Tl (0.3750, 0.2452, 0.3702)
Tl (0.7548, 0.1250, 0.1298)
Tl (0.8750, 0.0048, 0.6298)
Tl (0.9952, 0.6250, 0.8702)
Pd (0.1347, 0.3858, 0.5919)
Pd (0.1358, 0.3847, 0.0919)
Pd (0.2928, 0.0438, 0.9081)
Pd (0.4572, 0.8653, 0.2510)
Pd (0.6142, 0.2062, 0.7490)
Pd (0.6153, 0.7072, 0.7510)
Pd (0.7938, 0.5428, 0.4081)
Pd (0.9562, 0.8642, 0.2490)
Pt (0.2500, 0.7500, 0.5000)
Pt (0.5000, 0.5000, 0.0000)

Largest 8 diffraction maxima, low angle first, 2θ from 10° to 90°:
d_spacing  2θ (°)  I (rel.)
3.300  27.02  28.4
3.268  27.29  16.3
2.562  35.02  100.0
2.520  35.63  45.1
2.164  41.73  36.0
2.155  41.92  35.4
2.140  42.22  39.7
1.315  71.79  15.1

---

Entry 2:
Starting from a crystal structure in Alexandria, relaxed with PBE, the powder diffractogram of Ba4AsPt was computed for copper Kα.

Structure:
a b c (Å): 9.6978 9.6978 7.8313
angles (deg): 113.80 113.80 47.60
Positions (direct):
Ba (0.1008, 0.1510, 0.0998)
Ba (0.1510, 0.1008, 0.5998)
Ba (0.3489, 0.3988, 0.3488)
Ba (0.3988, 0.3489, 0.8488)
Ba (0.6012, 0.6511, 0.1512)
Ba (0.6511, 0.6012, 0.6512)
Ba (0.8490, 0.8992, 0.4002)
Ba (0.8992, 0.8490, 0.9002)
As (0.2502, 0.7498, 0.7500)
As (0.7498, 0.2502, 0.2500)
Pt (0.0000, 0.5000, 0.0000)
Pt (0.5000, 0.0000, 0.5000)

Largest 8 diffraction maxima, low angle first, 2θ from 10° to 90°:
d_spacing  2θ (°)  I (rel.)
4.546  19.53  41.7
3.915  22.71  11.0
2.791  32.06  100.0
2.768  32.34  45.7
2.364  38.06  15.3
1.957  46.39  14.4
1.616  56.98  18.0
1.603  57.51  28.6

---

Entry 3:
Starting from a crystal structure in Alexandria, relaxed with PBE, the powder diffractogram of LiSbTe was computed for copper Kα.

Structure:
a b c (Å): 4.8776 4.5814 8.4970
angles (deg): 90.00 92.75 90.00
Positions (direct):
Li (0.2365, 0.2500, 0.0129)
Li (0.7635, 0.7500, 0.9871)
Sb (0.1961, 0.7500, 0.5039)
Sb (0.8039, 0.2500, 0.4961)
Te (0.2512, 0.7500, 0.8342)
Te (0.7488, 0.2500, 0.1658)

Largest 8 diffraction maxima, low angle first, 2θ from 10° to 90°:
d_spacing  2θ (°)  I (rel.)
8.487  10.42  21.9
4.316  20.58  39.2
4.032  22.05  36.2
3.338  26.71  100.0
2.829  31.63  34.1
2.291  39.33  20.4
2.194  41.14  33.0
2.124  42.57  32.5

---

Entry 4:
Starting from a crystal structure in Alexandria, relaxed with PBE, the powder diffractogram of TbPuClO4 was computed for copper Kα.

Structure:
a b c (Å): 6.9190 6.9190 6.6302
angles (deg): 107.58 107.58 60.43
Positions (direct):
Tb (0.2113, 0.2113, 0.0755)
Tb (0.7887, 0.7887, 0.9245)
Pu (0.3719, 0.3719, 0.7672)
Pu (0.6281, 0.6281, 0.2328)
Cl (0.0300, 0.0300, 0.2535)
Cl (0.9700, 0.9700, 0.7465)
O (0.0590, 0.4475, 0.8055)
O (0.3319, 0.3319, 0.4709)
O (0.4200, 0.4200, 0.0854)
O (0.4475, 0.0590, 0.8055)
O (0.5525, 0.9410, 0.1945)
O (0.5800, 0.5800, 0.9146)
O (0.6681, 0.6681, 0.5291)
O (0.9410, 0.5525, 0.1945)

Largest 8 diffraction maxima, low angle first, 2θ from 10° to 90°:
d_spacing  2θ (°)  I (rel.)
6.212  14.26  62.7
5.915  14.98  43.1
3.583  24.85  85.7
3.482  25.58  100.0
3.369  26.46  65.6
2.715  33.00  68.7
2.497  35.96  59.4
2.262  39.86  50.4